[1]
Structure and theoretical PXRD pattern of Ta6NbTc (DFT lattice parameters and positions (GGA-PBE); a wavelength of 1.5418 Å).

Crystal structure
```
data_Ta6NbTc
_space_group_name_H-M_alt 'R -3 m'
_space_group_IT_number 166
_space_group_name_Hall '-R 3 2"'
_cell_length_a 9.5373
_cell_length_b 9.5373
_cell_length_c 5.5319
_cell_angle_alpha 90.00
_cell_angle_beta 90.00
_cell_angle_gamma 120.00
loop_
_atom_site_label
_atom_site_fract_x
_atom_site_fract_y
_atom_site_fract_z
Ta1 0.0037 0.5019 0.2507
Nb1 0.0000 0.0000 0.0000
Tc1 0.0000 0.0000 0.5000
```

Largest 10 diffraction maxima, by angle, 10 to 90 degrees two-theta:
- d = 2.623 Å, intensity 25, hkl 0 1 2
- d = 2.384 Å, intensity 100, hkl 2 2 0
- d = 2.298 Å, intensity 43, hkl 2 0 2
- d = 2.070 Å, intensity 25, hkl 1 2 2
- d = 1.764 Å, intensity 15, hkl 3 1 2
- d = 1.655 Å, intensity 16, hkl 0 4 2
- d = 1.377 Å, intensity 18, hkl 6 0 0
- d = 1.359 Å, intensity 17, hkl 4 2 2
- d = 1.311 Å, intensity 15, hkl 0 2 4
- d = 1.192 Å, intensity 11, hkl 4 4 0

---

[2]
Structure and theoretical PXRD pattern of Ta6NbTc5 (DFT lattice parameters and positions (GGA-PBE); a wavelength of 1.5418 Å).

Crystal structure
```
data_Ta6NbTc5
_space_group_name_H-M_alt 'I m m m'
_space_group_IT_number 71
_space_group_name_Hall '-I 2 2'
_cell_length_a 4.530
_cell_length_b 6.407
_cell_length_c 13.623
_cell_angle_alpha 90.00
_cell_angle_beta 90.00
_cell_angle_gamma 90.00
loop_
_atom_site_label
_atom_site_fract_x
_atom_site_fract_y
_atom_site_fract_z
Ta1 0.000 0.246 0.000
Ta2 0.000 0.252 0.332
Nb1 0.000 0.000 0.500
Tc1 0.000 0.000 0.167
Tc2 0.000 0.500 0.168
Tc3 0.000 0.500 0.500
```

Largest 10 diffraction maxima, by angle, 10 to 90 degrees two-theta:
- d = 3.206 Å, intensity 10, hkl 1 0 3
- d = 2.267 Å, intensity 100, hkl 2 0 0
- d = 1.851 Å, intensity 3, hkl 2 2 0
- d = 1.603 Å, intensity 17, hkl 2 0 6
- d = 1.435 Å, intensity 2, hkl 2 2 6
- d = 1.433 Å, intensity 2, hkl 3 0 3
- d = 1.310 Å, intensity 17, hkl 1 2 9
- d = 1.308 Å, intensity 17, hkl 3 2 3
- d = 1.135 Å, intensity 2, hkl 0 0 12
- d = 1.133 Å, intensity 9, hkl 4 0 0

---

[3]
Structure and theoretical PXRD pattern of Ta2NbTc2 (DFT lattice parameters and positions (GGA-PBE); a wavelength of 1.5418 Å).

Crystal structure
```
data_Ta2NbTc2
_space_group_name_H-M_alt 'C m m m'
_space_group_IT_number 65
_space_group_name_Hall '-C 2 2'
_cell_length_a 3.122
_cell_length_b 17.771
_cell_length_c 3.137
_cell_angle_alpha 90.00
_cell_angle_beta 90.00
_cell_angle_gamma 90.00
loop_
_atom_site_label
_atom_site_fract_x
_atom_site_fract_y
_atom_site_fract_z
Ta1 0.000 0.182 0.000
Nb1 0.000 0.000 0.000
Tc1 0.000 0.410 0.500
```

Largest 10 diffraction maxima, by angle, 10 to 90 degrees two-theta:
- d = 3.137 Å, intensity 20, hkl 0 0 1
- d = 2.959 Å, intensity 38, hkl 0 2 1
- d = 2.762 Å, intensity 22, hkl 1 3 0
- d = 2.345 Å, intensity 100, hkl 1 5 0
- d = 2.196 Å, intensity 82, hkl 1 1 1
- d = 2.153 Å, intensity 79, hkl 0 6 1
- d = 2.073 Å, intensity 31, hkl 1 3 1
- d = 1.568 Å, intensity 18, hkl 0 0 2
- d = 1.304 Å, intensity 68, hkl 1 11 1
- d = 1.264 Å, intensity 28, hkl 2 6 1

---

[4]
Structure and theoretical PXRD pattern of Ta3NbTc3 (DFT lattice parameters and positions (GGA-PBE); a wavelength of 1.5418 Å).

Crystal structure
```
data_Ta3NbTc3
_space_group_name_H-M_alt 'C m m m'
_space_group_IT_number 65
_space_group_name_Hall '-C 2 2'
_cell_length_a 8.876
_cell_length_b 8.899
_cell_length_c 6.248
_cell_angle_alpha 90.00
_cell_angle_beta 90.00
_cell_angle_gamma 90.00
loop_
_atom_site_label
_atom_site_fract_x
_atom_site_fract_y
_atom_site_fract_z
Ta1 0.000 0.233 0.000
Ta2 0.000 0.254 0.500
Ta3 0.248 0.500 0.000
Nb1 0.229 0.000 0.500
Tc1 0.000 0.500 0.250
Tc2 0.250 0.250 0.250
```

Largest 10 diffraction maxima, by angle, 10 to 90 degrees two-theta:
- d = 3.142 Å, intensity 12, hkl 2 2 0
- d = 3.124 Å, intensity 6, hkl 0 0 2
- d = 2.225 Å, intensity 20, hkl 0 4 0
- d = 2.216 Å, intensity 100, hkl 2 2 2
- d = 1.571 Å, intensity 13, hkl 4 4 0
- d = 1.562 Å, intensity 7, hkl 0 0 4
- d = 1.283 Å, intensity 13, hkl 2 6 2
- d = 1.280 Å, intensity 13, hkl 6 2 2
- d = 1.278 Å, intensity 13, hkl 4 0 4
- d = 1.108 Å, intensity 9, hkl 4 4 4

---

[5]
Structure and theoretical PXRD pattern of Ta7Nb2Tc (DFT lattice parameters and positions (GGA-PBE); a wavelength of 1.5418 Å).

Crystal structure
```
data_Ta7Nb2Tc
_space_group_name_H-M_alt 'F m -3 m'
_space_group_IT_number 225
_space_group_name_Hall '-F 4 2 3'
_cell_length_a 9.614
_cell_length_b 9.614
_cell_length_c 9.614
_cell_angle_alpha 90.00
_cell_angle_beta 90.00
_cell_angle_gamma 90.00
loop_
_atom_site_label
_atom_site_fract_x
_atom_site_fract_y
_atom_site_fract_z
Ta1 0.000 0.000 0.000
Ta2 0.000 0.000 0.254
Nb1 0.250 0.250 0.250
Tc1 0.000 0.000 0.500
```

Largest 10 diffraction maxima, by angle, 10 to 90 degrees two-theta:
- d = 4.807 Å, intensity 48, hkl 2 0 0
- d = 2.775 Å, intensity 81, hkl 2 2 2
- d = 2.404 Å, intensity 100, hkl 4 0 0
- d = 2.150 Å, intensity 24, hkl 4 2 0
- d = 1.700 Å, intensity 70, hkl 4 4 0
- d = 1.602 Å, intensity 12, hkl 6 0 0
- d = 1.449 Å, intensity 34, hkl 6 2 2
- d = 1.388 Å, intensity 24, hkl 4 4 4
- d = 1.202 Å, intensity 11, hkl 8 0 0
- d = 1.103 Å, intensity 14, hkl 6 6 2

---

[6]
Structure and theoretical PXRD pattern of TaNb5Te12 (DFT lattice parameters and positions (GGA-PBE); a wavelength of 1.5418 Å).

Crystal structure
```
data_TaNb5Te12
_space_group_name_H-M_alt 'C 1 2/m 1'
_space_group_IT_number 12
_cell_length_a 6.366
_cell_length_b 11.045
_cell_length_c 14.824
_cell_angle_alpha 90.00
_cell_angle_beta 90.02
_cell_angle_gamma 90.00
loop_
_space_group_symop_operation_xyz
'x,y,z'
'-x,-y,-z'
'-x,y,-z'
'x,-y,z'
'x+1/2,y+1/2,z'
'-x+1/2,-y+1/2,-z'
'-x+1/2,y+1/2,-z'
'x+1/2,-y+1/2,z'
loop_
_atom_site_label
_atom_site_fract_x
_atom_site_fract_y
_atom_site_fract_z
Ta1 0.000 0.000 0.000
Nb1 0.000 0.167 0.500
Nb2 0.000 0.333 0.000
Nb3 0.000 0.500 0.500
Te1 0.166 0.166 0.876
Te2 0.167 0.000 0.625
Te3 0.167 0.333 0.625
Te4 0.168 0.500 0.875
```

Largest 10 diffraction maxima, by angle, 10 to 90 degrees two-theta:
- d = 7.412 Å, intensity 55, hkl 0 0 2
- d = 3.706 Å, intensity 17, hkl 0 0 4
- d = 3.112 Å, intensity 27, hkl 2 0 1
- d = 2.927 Å, intensity 100, hkl 1 3 -2
- d = 2.678 Å, intensity 76, hkl 1 3 -3
- d = 2.415 Å, intensity 31, hkl 2 0 4
- d = 2.170 Å, intensity 41, hkl 1 3 -5
- d = 1.953 Å, intensity 31, hkl 1 3 6
- d = 1.824 Å, intensity 39, hkl 3 3 -1
- d = 1.463 Å, intensity 21, hkl 4 0 -4